Entry 1:
Structure and computed X-ray diffraction stick pattern of Mn3Cr2NiP6O24 (a crystal structure in the Materials Project, relaxed with PBE+U; Cu Ka).
Intensities are scaled so that the largest is 100.

Structure:
```
36
Lattice="4.3068 2.4865 6.7757 -4.3068 2.4865 6.7757 0.0000 -4.9730 6.7757" Properties=species:S:1:pos:R:3 pbc="T T T"
Mn 0.0000 0.0000 0.0000
Mn 0.0000 0.0000 4.3197
Mn 0.0000 0.0000 10.1823
Cr 0.0000 0.0000 7.2434
Cr 0.0000 0.0000 17.3759
Ni 0.0000 0.0000 14.4871
P -3.0383 0.2721 8.9457
P -1.2832 -2.2127 12.3159
P 1.2835 -2.7673 8.9457
P -1.2747 2.2177 12.3159
P 1.7548 2.4951 8.9457
P 2.5579 -0.0049 12.3159
O -3.4818 0.9546 7.6672
O -2.8241 -2.4487 12.0692
O -0.7960 -1.2117 5.7271
O -3.4097 1.0641 10.2137
O 0.9142 -3.4926 7.6672
O -1.4781 0.1047 8.7278
O -0.6514 1.2952 5.7271
O -0.8341 -1.5313 11.0300
O 0.7834 -3.4850 10.2137
O 0.6484 -1.3324 8.7278
O 1.4473 -0.0835 5.7271
O -0.9222 -1.5159 13.5902
O -0.9091 1.4881 11.0300
O -1.4992 -0.0754 15.9721
O 0.8297 1.2277 8.7277
O -0.8517 1.5566 13.5902
O 1.7432 0.0433 11.0300
O -0.7086 3.6701 12.0692
O 0.8148 -1.2606 15.9721
O 2.5676 2.5380 7.6672
O 1.7739 -0.0407 13.5902
O 3.5327 -1.2214 12.0692
O 0.6843 1.3360 15.9721
O 2.6264 2.4209 10.2137
```

Main lines, by angle (2θ = 10–90°):
d_spacing	two_theta	intensity
4.307	20.6	81
3.635	24.5	100
2.663	33.7	64
2.487	36.1	41
1.888	48.2	29
1.817	50.2	26

---

Entry 2:
Structure and computed X-ray diffraction stick pattern of Mn2CrNi3P6O24 (a crystal structure in the Materials Project, relaxed with PBE+U; Cu Ka).
Intensities are scaled so that the largest is 100.

Structure:
```
36
Lattice="4.3190 2.4936 6.9603 -4.3190 2.4936 6.9603 0.0000 -4.9871 6.9603" Properties=species:S:1:pos:R:3 pbc="T T T"
Mn 0.0000 0.0000 0.0000
Mn 0.0000 0.0000 10.4101
Cr 0.0000 0.0000 17.8837
Ni 0.0000 0.0000 2.9562
Ni 0.0000 0.0000 7.4344
Ni 0.0000 0.0000 13.3906
P -1.7941 -2.4903 8.6793
P -3.0504 0.2982 12.1307
P -1.2596 2.7989 8.6793
P 1.2669 -2.7908 12.1307
P 3.0537 -0.3086 8.6793
P 1.7835 2.4926 12.1308
O -0.8850 -3.7511 8.5251
O -3.6645 -1.1640 12.2444
O -1.7488 0.0046 6.4623
O -3.4593 0.9837 10.8338
O -0.9103 -1.2235 8.8977
O -2.8061 2.6420 8.5251
O 0.8704 -1.5168 6.4623
O 0.8778 -3.4877 10.8338
O -1.4987 0.0997 11.9605
O -0.6044 1.4001 8.8977
O -0.8388 -1.5189 14.3375
O 0.8784 1.5122 6.4623
O 0.6630 -1.3478 11.9605
O 1.5147 -0.1766 8.8977
O -0.8685 -1.3910 16.9063
O -0.8960 1.4859 14.3375
O 2.8403 -2.5916 12.2444
O 0.8357 1.2480 11.9605
O -0.7703 1.4476 16.9063
O 1.7348 0.0330 14.3375
O 3.6910 1.1091 8.5251
O 0.8242 3.7556 12.2444
O 2.5816 2.5040 10.8338
O 1.6389 -0.0567 16.9063
```

Main lines, by angle (2θ = 10–90°):
d_spacing	two_theta	intensity
4.319	20.6	91
3.670	24.3	100
2.710	33.1	69
2.494	36.0	42
1.918	47.4	35
1.632	56.4	30

---

Entry 3:
Structure and computed X-ray diffraction stick pattern of Mn2CrO6 (a crystal structure in the Materials Project, relaxed with PBE+U; Cu Ka).
Intensities are scaled so that the largest is 100.

Structure:
```
18
Lattice="4.4011 -2.5310 0.0000 4.4011 2.5310 0.0000 0.0000 0.0000 9.6105" Properties=species:S:1:pos:R:3 pbc="T T T"
Mn 1.4703 0.0000 0.0000
Mn 2.9307 0.0000 4.8053
Mn 5.8714 0.0000 4.8053
Mn 7.3318 0.0000 0.0000
Cr 0.0000 0.0000 4.8053
Cr 4.4011 0.0000 0.0000
O 1.4757 0.8454 3.8441
O 2.9254 0.8454 0.9612
O 4.4011 1.6897 8.6559
O 4.4011 0.8413 3.8506
O 1.4757 -0.8454 5.7665
O 2.9254 -0.8454 8.6493
O 5.8767 0.8454 0.9612
O 7.3265 0.8454 3.8441
O 4.4011 -0.8413 5.7599
O 4.4011 -1.6897 0.9547
O 5.8767 -0.8454 8.6493
O 7.3265 -0.8454 5.7665
```

Main lines, by angle (2θ = 10–90°):
d_spacing	two_theta	intensity
4.805	18.5	100
2.454	36.6	26
2.241	40.2	22
1.989	45.6	30
1.532	60.4	15
1.446	64.4	15

---

Entry 4:
Structure and computed X-ray diffraction stick pattern of MnCrO4 (a crystal structure in the Materials Project, relaxed with PBE+U; Cu Ka).
Intensities are scaled so that the largest is 100.

Structure:
```
24
Lattice="10.7041 0.0000 0.0000 0.0000 6.3560 0.0000 0.0000 0.0000 5.1077" Properties=species:S:1:pos:R:3 pbc="T T T"
Mn 2.4171 1.5890 0.1819
Mn 2.9349 4.7670 2.7358
Mn 7.7691 1.5890 2.3719
Mn 8.2870 4.7670 4.9258
Cr 1.0223 4.7670 0.4570
Cr 4.3297 1.5890 3.0108
Cr 6.3744 4.7670 2.0969
Cr 9.6817 1.5890 4.6507
O 0.5880 1.5890 4.2706
O 1.1978 4.7670 3.9192
O 1.8236 3.4397 1.1370
O 1.8236 6.0943 1.1370
O 3.5285 0.2617 3.6909
O 3.5285 2.9163 3.6909
O 4.1543 1.5890 1.3654
O 4.7640 4.7670 1.7168
O 5.9400 1.5890 3.3909
O 6.5498 4.7670 3.7423
O 7.1756 3.4397 1.4168
O 7.1756 6.0943 1.4168
O 8.8805 0.2617 3.9707
O 8.8805 2.9163 3.9707
O 9.5063 1.5890 1.1884
O 10.1161 4.7670 0.8371
```

Main lines, by angle (2θ = 10–90°):
d_spacing	two_theta	intensity
4.610	19.3	98
4.094	21.7	47
3.178	28.1	71
2.657	33.7	100
2.616	34.3	35
1.716	53.4	38

---

Entry 5:
Structure and computed X-ray diffraction stick pattern of Mn5Cr2O12 (a crystal structure in the Materials Project, relaxed with PBE+U; Cu Ka).
Intensities are scaled so that the largest is 100.

Structure:
```
19
Lattice="2.5179 -4.5186 0.0000 2.5179 4.5186 0.0000 -2.3892 0.0000 9.5636" Properties=species:S:1:pos:R:3 pbc="T T T"
Mn 0.0000 0.0000 0.0000
Mn 1.3233 -1.3769 4.7818
Mn 1.9714 -2.6748 2.1870
Mn 0.6753 -2.6748 7.3767
Mn 1.3233 -4.4656 4.7818
Cr 2.5179 1.6542 0.0000
Cr 1.3233 1.5893 4.7818
O -0.4435 1.7158 5.8475
O 0.9534 1.3247 1.1068
O -0.9378 0.4284 8.3625
O 0.4412 0.0923 3.8247
O 0.7751 -1.4764 0.9865
O -0.2518 -1.5185 5.8757
O 3.0902 1.7158 3.7161
O 1.6933 1.3247 8.4568
O 2.2055 0.0923 5.7390
O 3.5845 0.4284 1.2012
O 2.8985 -1.5185 3.6879
O 1.8716 -1.4764 8.5771
```

Main lines, by angle (2θ = 10–90°):
d_spacing	two_theta	intensity
4.782	18.6	63
4.519	19.6	26
3.601	24.7	41
2.390	37.6	26
2.149	42.0	100
1.963	46.2	39

---

Entry 6:
Structure and computed X-ray diffraction stick pattern of Mn5CrO12 (a crystal structure in the Materials Project, relaxed with PBE+U; Cu Ka).
Intensities are scaled so that the largest is 100.

Structure:
```
18
Lattice="2.5195 -4.3898 0.0000 2.5195 4.3898 0.0000 -0.0144 0.0000 9.3445" Properties=species:S:1:pos:R:3 pbc="T T T"
Mn 0.0000 0.0000 0.0000
Mn 2.5123 2.9261 4.6722
Mn 2.5195 1.4634 0.0000
Mn 2.5195 -1.4634 0.0000
Mn 2.5123 -2.9261 4.6722
Cr 2.5123 0.0000 4.6722
O 3.3561 -2.9284 0.9614
O 1.6685 2.9284 8.3831
O 1.6707 1.4757 5.6365
O 0.8400 0.0000 3.7054
O 3.3561 2.9284 0.9614
O 1.6660 0.0000 8.3823
O 3.3539 1.4757 3.7080
O 1.6707 -1.4757 5.6365
O 1.6685 -2.9284 8.3831
O 3.3587 0.0000 0.9622
O 4.1846 0.0000 5.6391
O 3.3539 -1.4757 3.7080
```

Main lines, by angle (2θ = 10–90°):
d_spacing	two_theta	intensity
4.672	19.0	100
2.443	36.8	30
2.218	40.7	16
1.964	46.2	31
1.503	61.7	15
1.439	64.8	16